No. 1
For CaPuIr4, the PBE geometry in Alexandria gives the calculated powder X-ray diffraction pattern in this record (Cu Kα).
Intensities are scaled so that the largest is 100.

Main lines, in order of rising 2θ (2θ = 10–90°):
| 2θ (°) | d (Å) | Rel. int. |
| --- | --- | --- |
| 20.29 | 4.377 | 26.0 |
| 23.47 | 3.790 | 9.9 |
| 33.43 | 2.680 | 17.1 |
| 39.42 | 2.286 | 100.0 |
| 41.25 | 2.188 | 51.6 |
| 48.01 | 1.895 | 9.6 |
| 52.63 | 1.739 | 6.8 |
| 59.76 | 1.547 | 6.6 |
| 63.80 | 1.459 | 33.1 |
| 70.24 | 1.340 | 28.6 |
| 83.65 | 1.156 | 11.9 |
| 84.84 | 1.143 | 20.4 |

Cell and atoms:
```
6
Lattice="0.000 3.790 3.790 3.790 0.000 3.790 3.790 3.790 0.000" Properties=species:S:1:pos:R:3 pbc="T T T"
Ca 0.000 0.000 0.000
Pu 5.685 5.685 5.685
Ir 2.841 2.841 2.841
Ir 4.739 4.739 2.841
Ir 4.739 2.841 4.739
Ir 2.841 4.739 4.739
```

No. 2
For Tb2Sm7Dy4, the PBE geometry in Alexandria gives the calculated powder X-ray diffraction pattern in this record (Cu Kα).
Intensities are scaled so that the largest is 100.

Main lines, in order of rising 2θ (2θ = 10–90°):
| 2θ (°) | d (Å) | Rel. int. |
| --- | --- | --- |
| 26.27 | 3.392 | 12.1 |
| 27.02 | 3.300 | 21.2 |
| 29.04 | 3.075 | 17.8 |
| 29.83 | 2.995 | 41.5 |
| 31.90 | 2.805 | 17.4 |
| 32.11 | 2.787 | 100.0 |
| 35.62 | 2.521 | 30.2 |
| 51.05 | 1.789 | 17.3 |
| 51.47 | 1.776 | 29.7 |
| 59.09 | 1.564 | 12.3 |
| 61.97 | 1.497 | 13.5 |
| 64.04 | 1.454 | 12.0 |

Cell and atoms:
```
13
Lattice="6.148 0.000 0.000 -3.073 5.329 0.000 -0.005 -0.011 13.200" Properties=species:S:1:pos:R:3 pbc="T T T"
Tb 0.005 1.781 0.000
Tb 3.070 3.548 0.000
Sm 0.815 0.001 2.905
Sm -1.131 3.359 10.284
Sm 3.074 0.000 0.000
Sm 1.945 1.942 10.279
Sm 1.125 3.376 2.920
Sm 4.201 1.959 2.916
Sm 2.255 5.317 10.295
Dy 0.001 1.757 6.600
Dy -0.002 5.312 8.016
Dy 3.072 0.006 5.184
Dy 3.069 3.561 6.600
```

No. 3
For BaMgCdBi2, the PBE geometry in Alexandria gives the calculated powder X-ray diffraction pattern in this record (Cu Kα).
Intensities are scaled so that the largest is 100.

Main lines, in order of rising 2θ (2θ = 10–90°):
| 2θ (°) | d (Å) | Rel. int. |
| --- | --- | --- |
| 19.56 | 4.539 | 38.3 |
| 25.44 | 3.501 | 100.0 |
| 26.20 | 3.401 | 23.4 |
| 26.91 | 3.313 | 63.8 |
| 28.65 | 3.116 | 26.0 |
| 34.47 | 2.602 | 78.2 |
| 35.05 | 2.560 | 25.0 |
| 37.91 | 2.373 | 23.7 |
| 44.74 | 2.026 | 19.5 |
| 46.69 | 1.946 | 35.2 |
| 51.77 | 1.766 | 19.9 |
| 52.57 | 1.741 | 23.9 |

Cell and atoms:
```
10
Lattice="3.313 -7.776 0.000 3.313 7.776 0.000 0.000 0.000 6.802" Properties=species:S:1:pos:R:3 pbc="T T T"
Ba 3.313 3.888 5.247
Ba 3.313 -3.888 1.555
Mg 1.656 0.000 3.401
Mg 4.969 0.000 3.401
Cd 0.000 0.000 0.000
Cd 3.313 0.000 0.000
Bi 3.313 5.705 1.890
Bi 3.313 2.072 1.890
Bi 3.313 -2.072 4.912
Bi 3.313 -5.705 4.912
```

No. 4
For Sm3Ho3MgTe8, the PBE geometry in Alexandria gives the calculated powder X-ray diffraction pattern in this record (Cu Kα).
Intensities are scaled so that the largest is 100.

Main lines, in order of rising 2θ (2θ = 10–90°):
| 2θ (°) | d (Å) | Rel. int. |
| --- | --- | --- |
| 14.31 | 6.191 | 11.1 |
| 28.84 | 3.096 | 100.0 |
| 41.10 | 2.196 | 37.9 |
| 41.38 | 2.182 | 37.7 |
| 50.75 | 1.799 | 6.7 |
| 51.22 | 1.783 | 20.2 |
| 59.74 | 1.548 | 12.5 |
| 67.48 | 1.388 | 17.0 |
| 67.87 | 1.381 | 17.2 |
| 74.71 | 1.271 | 6.2 |
| 75.27 | 1.262 | 12.6 |
| 75.46 | 1.260 | 6.4 |

Cell and atoms:
```
15
Lattice="4.364 2.520 7.195 -4.364 2.520 7.195 0.000 -5.039 7.195" Properties=species:S:1:pos:R:3 pbc="T T T"
Sm -2.182 -1.260 7.195
Sm -2.182 1.260 14.391
Sm 0.000 2.520 7.195
Ho -4.364 0.000 10.793
Ho -2.182 1.260 3.598
Ho 2.182 1.260 3.598
Mg 0.000 0.000 10.793
Te 0.000 0.000 5.335
Te -2.166 -1.251 12.517
Te 0.000 -2.501 9.070
Te -2.166 1.251 9.070
Te 2.166 -1.251 12.517
Te 0.000 2.501 12.517
Te 2.166 1.251 9.070
Te 0.000 0.000 16.251
```